# 1
For K2NaTlBr6, a PBE-relaxed structure gives the computed X-ray powder pattern in this record (Cu Kα X-rays).

Most intense lines, 10° ≤ 2θ ≤ 90°, in order of falling intensity:
31.6 deg, d 2.835, I 1000; 15.6 deg, d 5.670, I 787; 45.2 deg, d 2.005, I 716; 13.5 deg, d 6.547, I 556; 35.4 deg, d 2.536, I 431; 27.2 deg, d 3.274, I 389; 74.9 deg, d 1.268, I 310; 26.1 deg, d 3.419, I 287; 56.2 deg, d 1.637, I 246; 83.5 deg, d 1.157, I 235

Cell: 8.019 8.019 8.019 Å, 60.00 60.00 60.00°
Element x y z (fractional)
K: 0.250 0.250 0.250
K: 0.750 0.750 0.750
Na: 0.000 0.000 0.000
Tl: 0.500 0.500 0.500
Br: 0.255 0.255 0.745
Br: 0.255 0.745 0.255
Br: 0.255 0.745 0.745
Br: 0.745 0.255 0.255
Br: 0.745 0.255 0.745
Br: 0.745 0.745 0.255

=====

# 2
For KNd2Br5, a PBE-relaxed structure gives the computed X-ray powder pattern in this record (Cu Kα X-rays).

Most intense lines, 10° ≤ 2θ ≤ 90°, in order of falling intensity:
31.2 deg, d 2.865, I 1000; 31.9 deg, d 2.809, I 521; 39.2 deg, d 2.296, I 509; 31.8 deg, d 2.816, I 502; 33.1 deg, d 2.705, I 485; 39.1 deg, d 2.306, I 385; 27.7 deg, d 3.222, I 351; 23.5 deg, d 3.787, I 258; 29.5 deg, d 3.025, I 246; 26.6 deg, d 3.348, I 237

Cell: 9.181 7.588 14.236 Å, 90.00 90.14 90.00°
Element x y z (fractional)
K: 0.004 0.055 0.332
K: 0.004 0.445 0.832
K: 0.996 0.555 0.168
K: 0.996 0.945 0.668
Nd: 0.296 0.033 0.999
Nd: 0.296 0.467 0.499
Nd: 0.491 0.604 0.156
Nd: 0.491 0.896 0.656
Nd: 0.509 0.104 0.344
Nd: 0.509 0.396 0.844
Nd: 0.704 0.533 0.501
Nd: 0.704 0.967 0.001
Br: 0.026 0.673 0.421
Br: 0.026 0.827 0.921
Br: 0.247 0.649 0.684
Br: 0.247 0.851 0.184
Br: 0.260 0.160 0.794
Br: 0.260 0.340 0.294
Br: 0.289 0.047 0.499
Br: 0.289 0.453 0.999
Br: 0.476 0.693 0.366
Br: 0.476 0.807 0.866
Br: 0.524 0.193 0.134
Br: 0.524 0.307 0.634
Br: 0.711 0.547 0.001
Br: 0.711 0.953 0.501
Br: 0.740 0.660 0.706
Br: 0.740 0.840 0.206
Br: 0.753 0.149 0.816
Br: 0.753 0.351 0.316
Br: 0.974 0.173 0.079
Br: 0.974 0.327 0.579